Y4TlAuO: theoretical powder X-ray diffraction pattern (Cu Ka), based on a structure optimized by DFT (GGA-PBE).
Kinematic intensities with the Lorentz-polarization factor, no thermal factor.

Crystal structure
Cell lengths 8.3728, 8.3728, 6.6647 Å; angles 90.00, 90.00, 133.17 degrees
Positions (direct):
Y 0.0000 0.5000 0.0000
Y 0.0000 0.5000 0.5000
Y 0.0625 0.9375 0.7500
Y 0.4194 0.5806 0.7500
Y 0.5000 0.0000 0.0000
Y 0.5000 0.0000 0.5000
Y 0.5806 0.4194 0.2500
Y 0.9375 0.0625 0.2500
Tl 0.3852 0.6148 0.2500
Tl 0.6148 0.3852 0.7500
Au 0.1219 0.8781 0.2500
Au 0.8781 0.1219 0.7500
O 0.2580 0.7420 0.7500
O 0.7420 0.2580 0.2500

Principal peaks in the range 2θ = 10–90°, in order of rising 2θ:
Position (°2θ)  I (rel.)
19.72  35
26.77  52
29.23  46
34.86  41
35.68  100
38.23  71